(1)
CrNi6Ru: computed powder X-ray diffraction pattern (Cu Kα), based on a crystal structure in Alexandria, relaxed with GGA-PBE.
Peak positions follow from Bragg's law for the DFT cell and can differ from measured ones.

Structure:
a = 5.074 Å, b = 5.074 Å, c = 3.597 Å
α = 90.00°, β = 90.00°, γ = 90.00°
Atoms (fractional coordinates):
Cr 0.000 0.000 0.000
Ni 0.000 0.500 0.000
Ni 0.249 0.249 0.500
Ni 0.249 0.751 0.500
Ni 0.500 0.000 0.000
Ni 0.751 0.249 0.500
Ni 0.751 0.751 0.500
Ru 0.500 0.500 0.000

Principal peaks in the range 2θ from 15° to 90°, sorted by position:
17.48 deg, intensity 4; 24.80 deg, intensity 1; 30.46 deg, intensity 2; 39.72 deg, intensity 1; 43.66 deg, intensity 100; 47.37 deg, intensity 1; 50.77 deg, intensity 16; 50.90 deg, intensity 31; 74.75 deg, intensity 18; 74.85 deg, intensity 9

=====

(2)
Y2Tm6S3: computed powder X-ray diffraction pattern (Cu Kα), based on a crystal structure in Alexandria, relaxed with GGA-PBE.
Peak positions follow from Bragg's law for the DFT cell and can differ from measured ones.

Structure:
a = 24.236 Å, b = 24.236 Å, c = 24.236 Å
α = 8.74°, β = 8.74°, γ = 8.74°
Atoms (fractional coordinates):
Y 0.058 0.058 0.058
Y 0.942 0.942 0.942
Tm 0.143 0.143 0.143
Tm 0.314 0.314 0.314
Tm 0.431 0.431 0.431
Tm 0.569 0.569 0.569
Tm 0.686 0.686 0.686
Tm 0.857 0.857 0.857
S 0.212 0.212 0.212
S 0.500 0.500 0.500
S 0.788 0.788 0.788

Principal peaks in the range 2θ from 15° to 90°, sorted by position:
29.23 deg, intensity 42; 29.62 deg, intensity 100; 31.09 deg, intensity 91; 32.93 deg, intensity 37; 34.34 deg, intensity 46; 35.09 deg, intensity 32; 36.68 deg, intensity 28; 49.36 deg, intensity 65; 52.69 deg, intensity 33; 58.62 deg, intensity 50